1.
HfZn6Pd12: calculated X-ray powder pattern (a wavelength of 1.5418 Å), based on a crystal structure in Alexandria, relaxed with GGA-PBE.
Peak positions follow from Bragg's law for the DFT cell and can differ from measured ones.

```
HfZn6Pd12
1.0
5.4701 3.1582 3.0510
-5.4701 3.1582 3.0510
0.0000 -6.3163 3.0510
Hf Zn Pd
1 6 12
direct
0.0000 0.0000 0.0000
0.1793 0.4571 0.2676
0.2676 0.1793 0.4571
0.4571 0.2676 0.1793
0.5429 0.7324 0.8207
0.7324 0.8207 0.5429
0.8207 0.5429 0.7324
0.0205 0.1472 0.6840
0.1472 0.6840 0.0205
0.1761 0.5187 0.6404
0.3160 0.9795 0.8528
0.3596 0.8239 0.4813
0.4813 0.3596 0.8239
0.5187 0.6404 0.1761
0.6404 0.1761 0.5187
0.6840 0.0205 0.1472
0.8239 0.4813 0.3596
0.8528 0.3160 0.9795
0.9795 0.8528 0.3160
```

Principal peaks in the range 2θ = 5–70°, low angle first:
- 2θ 26.7, intensity 35
- 2θ 31.7, intensity 85
- 2θ 33.6, intensity 20
- 2θ 39.5, intensity 100
- 2θ 40.6, intensity 23
- 2θ 43.0, intensity 44
- 2θ 43.8, intensity 100
- 2θ 43.9, intensity 26
- 2θ 46.2, intensity 62
- 2θ 47.1, intensity 71



2.
TbTmPd: calculated X-ray powder pattern (a wavelength of 1.5418 Å), based on a crystal structure in Alexandria, relaxed with GGA-PBE.
Peak positions follow from Bragg's law for the DFT cell and can differ from measured ones.

```
TbTmPd
1.0
6.3691 0.0000 0.0000
0.0000 7.2484 0.0000
-0.6011 0.0000 6.9334
Tb Tm Pd
4 4 4
direct
0.0849 0.2400 0.0028
0.0849 0.2600 0.5028
0.9151 0.7400 0.4972
0.9151 0.7600 0.9972
0.4002 0.6101 0.2275
0.4002 0.8899 0.7275
0.5998 0.1101 0.2725
0.5998 0.3899 0.7725
0.2065 0.5527 0.7915
0.2065 0.9473 0.2915
0.7935 0.0527 0.7085
0.7935 0.4473 0.2085
```

Principal peaks in the range 2θ = 5–70°, low angle first:
- 2θ 28.2, intensity 35
- 2θ 28.4, intensity 27
- 2θ 30.4, intensity 42
- 2θ 30.7, intensity 100
- 2θ 32.4, intensity 39
- 2θ 32.9, intensity 41
- 2θ 35.8, intensity 53
- 2θ 37.7, intensity 33
- 2θ 39.9, intensity 37
- 2θ 52.5, intensity 22



3.
Li2Ga3Rh: calculated X-ray powder pattern (a wavelength of 1.5418 Å), based on a crystal structure in Alexandria, relaxed with GGA-PBE.
Peak positions follow from Bragg's law for the DFT cell and can differ from measured ones.

```
Li2Ga3Rh
1.0
3.6513 -6.6612 0.0000
3.6513 6.6612 0.0000
-2.6805 0.0000 3.5308
Li Ga Rh
4 6 2
direct
0.0867 0.9133 0.7500
0.2567 0.7433 0.2500
0.7433 0.2567 0.7500
0.9133 0.0867 0.2500
0.0000 0.5000 0.5000
0.1662 0.3243 0.9955
0.3243 0.1662 0.4955
0.5000 0.0000 0.0000
0.6757 0.8338 0.5045
0.8338 0.6757 0.0045
0.4121 0.5879 0.7500
0.5879 0.4121 0.2500
```

Principal peaks in the range 2θ = 5–70°, low angle first:
- 2θ 13.3, intensity 11
- 2θ 16.6, intensity 33
- 2θ 21.1, intensity 9
- 2θ 28.4, intensity 14
- 2θ 28.6, intensity 23
- 2θ 37.1, intensity 15
- 2θ 40.7, intensity 56
- 2θ 42.4, intensity 100
- 2θ 58.9, intensity 21
- 2θ 64.0, intensity 8



4.
La2MgSi4Rh3: calculated X-ray powder pattern (a wavelength of 1.5418 Å), based on a crystal structure in Alexandria, relaxed with GGA-PBE.
Peak positions follow from Bragg's law for the DFT cell and can differ from measured ones.

```
La2MgSi4Rh3
1.0
4.2532 0.0000 0.0000
0.0000 4.2532 0.0000
0.0000 0.0000 10.2759
La Mg Si Rh
2 1 4 3
direct
0.0000 0.5000 0.2380
0.5000 0.0000 0.7620
0.0000 0.0000 0.5000
0.0000 0.0000 0.0000
0.0000 0.5000 0.6464
0.5000 0.0000 0.3536
0.5000 0.5000 0.0000
0.0000 0.5000 0.8831
0.5000 0.0000 0.1169
0.5000 0.5000 0.5000
```

Principal peaks in the range 2θ = 5–70°, low angle first:
- 2θ 22.6, intensity 17
- 2θ 29.7, intensity 40
- 2θ 31.0, intensity 27
- 2θ 33.6, intensity 100
- 2θ 34.6, intensity 88
- 2θ 42.5, intensity 64
- 2θ 49.2, intensity 28
- 2θ 55.2, intensity 48
- 2θ 61.7, intensity 21
- 2θ 67.0, intensity 22